Entry 1:
This entry pairs a crystal structure of AcNi4AsP2 with its calculated PXRD pattern. Radiation: Cu Kα (weighted mean of Kα1 and Kα2). Structure: a cell relaxed with GGA-PBE.
Kinematic intensities with the Lorentz-polarization factor, no thermal factor.

Top 12 peaks for 2θ from 15° to 90°, by intensity:
2θ (°), d [Å], I/Imax, hkl
31.13, 2.873, 100, 1 0 2
39.00, 2.309, 62, 1 1 2
34.32, 2.613, 54, 1 1 1
46.81, 1.941, 50, 2 0 0
22.91, 3.881, 47, 1 0 0
54.42, 1.686, 36, 1 1 4
57.29, 1.608, 35, 2 1 2
31.40, 2.849, 26, 0 0 3
25.20, 3.534, 21, 1 0 1
57.46, 1.604, 18, 2 0 3
48.64, 1.872, 18, 1 0 4
39.23, 2.297, 16, 1 0 3

Structural model:
```
data_AcNi4AsP2
_chemical_formula_sum 'Ac1 Ni4 As1 P2'
_space_group_name_H-M_alt 'P 4/m m m'
_space_group_IT_number 123
_space_group_name_Hall '-P 4 2'
_cell_length_a 3.8812
_cell_length_b 3.8812
_cell_length_c 8.5467
_cell_angle_alpha 90.00
_cell_angle_beta 90.00
_cell_angle_gamma 90.00
loop_
_atom_site_label
_atom_site_type_symbol
_atom_site_fract_x
_atom_site_fract_y
_atom_site_fract_z
Ac1 Ac 0.0000 0.0000 0.0000
Ni1 Ni 0.0000 0.5000 0.3349
As1 As 0.0000 0.0000 0.5000
P1 P 0.5000 0.5000 0.2042
```

***

Entry 2:
This entry pairs a crystal structure of DyTmIr with its calculated PXRD pattern. Radiation: Cu Kα (weighted mean of Kα1 and Kα2). Structure: a cell relaxed with GGA-PBE.
Kinematic intensities with the Lorentz-polarization factor, no thermal factor.

Top 12 peaks for 2θ from 15° to 90°, by intensity:
2θ (°), d [Å], I/Imax, hkl
34.38, 2.608, 100, 1 2 2
31.32, 2.856, 88, 1 0 2
42.36, 2.134, 51, 0 6 0
40.08, 2.250, 37, 2 0 0
37.16, 2.420, 37, 0 5 1
59.73, 1.548, 28, 2 6 0
42.43, 2.130, 25, 1 1 3
67.06, 1.396, 24, 1 1 5
55.77, 1.648, 18, 2 5 1
66.97, 1.397, 16, 1 8 2
69.17, 1.358, 13, 3 2 2
67.38, 1.390, 10, 3 0 2

Structural model:
```
data_DyTmIr
_chemical_formula_sum 'Dy6 Tm6 Ir6'
_space_group_name_H-M_alt 'A m m 2'
_space_group_IT_number 38
_space_group_name_Hall 'A 2 -2'
_cell_length_a 4.4993
_cell_length_b 12.8181
_cell_length_c 7.3840
_cell_angle_alpha 90.00
_cell_angle_beta 90.00
_cell_angle_gamma 90.00
loop_
_atom_site_label
_atom_site_type_symbol
_atom_site_fract_x
_atom_site_fract_y
_atom_site_fract_z
Dy1 Dy 0.0000 0.0000 0.0000
Dy2 Dy 0.0000 0.2053 0.6165
Tm1 Tm 0.5000 0.0000 0.6696
Tm2 Tm 0.5000 0.1292 0.2812
Ir1 Ir 0.0000 0.0000 0.4106
Ir2 Ir 0.5000 0.1669 0.9104
```

***

Entry 3:
This entry pairs a crystal structure of DyHfNi10 with its calculated PXRD pattern. Radiation: Cu Kα (weighted mean of Kα1 and Kα2). Structure: a cell relaxed with GGA-PBE.
Kinematic intensities with the Lorentz-polarization factor, no thermal factor.

Top 12 peaks for 2θ from 15° to 90°, by intensity:
2θ (°), d [Å], I/Imax, hkl
44.15, 2.051, 100, 1 2 0
31.20, 2.867, 56, 1 1 1
43.58, 2.077, 35, 0 0 4
37.51, 2.398, 33, 0 2 0
45.81, 1.981, 28, 2 0 0
72.29, 1.307, 21, 1 3 3
65.07, 1.433, 21, 2 0 4
60.63, 1.527, 16, 2 2 0
63.77, 1.459, 15, 1 2 4
83.58, 1.157, 15, 3 2 0
80.03, 1.199, 14, 0 4 0
22.44, 3.962, 8, 1 0 0

Structural model:
```
data_DyHfNi10
_chemical_formula_sum 'Dy1 Hf1 Ni10'
_space_group_name_H-M_alt 'P m m m'
_space_group_IT_number 47
_space_group_name_Hall '-P 2 2'
_cell_length_a 3.9619
_cell_length_b 4.7958
_cell_length_c 8.3067
_cell_angle_alpha 90.00
_cell_angle_beta 90.00
_cell_angle_gamma 90.00
loop_
_atom_site_label
_atom_site_type_symbol
_atom_site_fract_x
_atom_site_fract_y
_atom_site_fract_z
Dy1 Dy 0.0000 0.0000 0.0000
Hf1 Hf 0.0000 0.5000 0.5000
Ni1 Ni 0.0000 0.0000 0.3404
Ni2 Ni 0.0000 0.5000 0.1759
Ni3 Ni 0.5000 0.0000 0.5000
Ni4 Ni 0.5000 0.2539 0.2567
Ni5 Ni 0.5000 0.5000 0.0000
```

***

Entry 4:
This entry pairs a crystal structure of CaSe2Br with its calculated PXRD pattern. Radiation: Cu Kα (weighted mean of Kα1 and Kα2). Structure: a cell relaxed with GGA-PBE.
Kinematic intensities with the Lorentz-polarization factor, no thermal factor.

Top 12 peaks for 2θ from 15° to 90°, by intensity:
2θ (°), d [Å], I/Imax, hkl
28.79, 3.101, 100, 1 1 -1
24.39, 3.650, 89, 0 1 1
31.12, 2.874, 79, 1 0 1
32.29, 2.772, 78, 0 2 0
45.46, 1.995, 53, 1 2 1
45.10, 2.010, 44, 2 1 0
26.17, 3.405, 31, 1 1 0
51.57, 1.772, 24, 2 1 -2
57.93, 1.592, 24, 1 1 -3
37.54, 2.396, 24, 1 0 -2
18.29, 4.849, 20, 0 0 1
50.34, 1.813, 20, 1 2 -2

Structural model:
```
data_CaSe2Br
_chemical_formula_sum 'Ca1 Se2 Br1'
_space_group_name_H-M_alt 'P 1 2/m 1'
_space_group_IT_number 10
_space_group_name_Hall '-P 2y'
_cell_length_a 4.4672
_cell_length_b 5.5444
_cell_length_c 5.0213
_cell_angle_alpha 90.00
_cell_angle_beta 105.04
_cell_angle_gamma 90.00
loop_
_atom_site_label
_atom_site_type_symbol
_atom_site_fract_x
_atom_site_fract_y
_atom_site_fract_z
Ca1 Ca 0.0000 0.0000 0.0000
Se1 Se 0.1928 0.5000 0.8706
Br1 Br 0.5000 0.0000 0.5000
```

***

Entry 5:
This entry pairs a crystal structure of Dy2Ni21B6 with its calculated PXRD pattern. Radiation: Cu Kα (weighted mean of Kα1 and Kα2). Structure: a cell relaxed with GGA-PBE.
Kinematic intensities with the Lorentz-polarization factor, no thermal factor.

Top 12 peaks for 2θ from 15° to 90°, by intensity:
2θ (°), d [Å], I/Imax, hkl
44.06, 2.055, 100, 3 3 3
37.67, 2.388, 73, 4 2 0
41.42, 2.180, 64, 4 2 2
75.54, 1.259, 38, 6 6 0
48.20, 1.888, 33, 4 4 0
50.56, 1.805, 24, 5 3 1
73.06, 1.295, 21, 6 4 4
57.22, 1.610, 20, 6 2 2
23.56, 3.776, 15, 2 2 0
16.60, 5.340, 12, 2 0 0
77.38, 1.233, 11, 5 5 5
54.33, 1.689, 10, 6 2 0

Structural model:
```
data_Dy2Ni21B6
_chemical_formula_sum 'Dy8 Ni84 B24'
_space_group_name_H-M_alt 'F m -3 m'
_space_group_IT_number 225
_space_group_name_Hall '-F 4 2 3'
_cell_length_a 10.6800
_cell_length_b 10.6800
_cell_length_c 10.6800
_cell_angle_alpha 90.00
_cell_angle_beta 90.00
_cell_angle_gamma 90.00
loop_
_atom_site_label
_atom_site_type_symbol
_atom_site_fract_x
_atom_site_fract_y
_atom_site_fract_z
Dy1 Dy 0.2500 0.2500 0.2500
Ni1 Ni 0.0000 0.0000 0.0000
Ni2 Ni 0.0000 0.1682 0.1682
Ni3 Ni 0.1121 0.1121 0.3879
B1 B 0.0000 0.0000 0.2703
```

***

Entry 6:
This entry pairs a crystal structure of Zn7Cu2Rh2 with its calculated PXRD pattern. Radiation: Cu Kα (weighted mean of Kα1 and Kα2). Structure: a cell relaxed with GGA-PBE.
Kinematic intensities with the Lorentz-polarization factor, no thermal factor.

Top 12 peaks for 2θ from 15° to 90°, by intensity:
2θ (°), d [Å], I/Imax, hkl
42.19, 2.142, 100, 1 3 2
36.45, 2.465, 22, 1 1 2
42.67, 2.119, 22, 1 4 1
44.39, 2.041, 22, 0 6 0
45.39, 1.998, 19, 0 2 4
45.78, 1.982, 16, 1 2 3
58.99, 1.566, 14, 2 0 0
38.27, 2.352, 14, 0 5 1
42.78, 2.114, 12, 0 0 4
30.44, 2.937, 11, 1 0 1
52.62, 1.739, 11, 0 4 4
74.20, 1.278, 9, 1 1 6

Structural model:
```
data_Zn7Cu2Rh2
_chemical_formula_sum 'Zn14 Cu4 Rh4'
_space_group_name_H-M_alt 'I m m 2'
_space_group_IT_number 44
_space_group_name_Hall 'I 2 -2'
_cell_length_a 3.1317
_cell_length_b 12.2438
_cell_length_c 8.4548
_cell_angle_alpha 90.00
_cell_angle_beta 90.00
_cell_angle_gamma 90.00
loop_
_atom_site_label
_atom_site_type_symbol
_atom_site_fract_x
_atom_site_fract_y
_atom_site_fract_z
Zn1 Zn 0.0000 0.0000 0.0000
Zn2 Zn 0.0000 0.1394 0.6318
Zn3 Zn 0.0000 0.3287 0.4003
Zn4 Zn 0.0000 0.3481 0.8824
Cu1 Cu 0.0000 0.0000 0.3023
Cu2 Cu 0.0000 0.5000 0.2321
Rh1 Rh 0.0000 0.1921 0.1435
```

***

Entry 7:
This entry pairs a crystal structure of LiIn4Hg7 with its calculated PXRD pattern. Radiation: Cu Kα (weighted mean of Kα1 and Kα2). Structure: a cell relaxed with GGA-PBE.
Kinematic intensities with the Lorentz-polarization factor, no thermal factor.

Top 12 peaks for 2θ from 15° to 90°, by intensity:
2θ (°), d [Å], I/Imax, hkl
30.92, 2.892, 100, 0 0 3
35.49, 2.530, 41, 2 0 1
33.62, 2.665, 37, 2 0 -2
41.92, 2.155, 37, 1 2 -3
31.14, 2.872, 36, 0 2 0
30.76, 2.907, 35, 0 1 -3
34.43, 2.605, 32, 1 -2 2
38.94, 2.313, 31, 1 2 0
33.91, 2.643, 18, -1 2 1
24.98, 3.565, 18, 1 1 0
37.85, 2.377, 15, 2 -2 0
31.39, 2.850, 14, 1 0 -3

Structural model:
```
data_LiIn4Hg7
_chemical_formula_sum 'Li1 In4 Hg7'
_space_group_name_H-M_alt 'P -1'
_space_group_IT_number 2
_space_group_name_Hall '-P 1'
_cell_length_a 5.9871
_cell_length_b 6.1247
_cell_length_c 9.1115
_cell_angle_alpha 102.31
_cell_angle_beta 99.55
_cell_angle_gamma 103.59
loop_
_atom_site_label
_atom_site_type_symbol
_atom_site_fract_x
_atom_site_fract_y
_atom_site_fract_z
Li1 Li 0.0000 0.0000 0.0000
In1 In 0.2168 0.7850 0.6838
In2 In 0.2505 0.8319 0.3356
Hg1 Hg 0.0000 0.5000 0.0000
Hg2 Hg 0.2490 0.2821 0.6163
Hg3 Hg 0.2865 0.3166 0.2776
Hg4 Hg 0.4612 0.2294 0.9607
```

***

Entry 8:
This entry pairs a crystal structure of AcNd12Ho5 with its calculated PXRD pattern. Radiation: Cu Kα (weighted mean of Kα1 and Kα2). Structure: a cell relaxed with GGA-PBE.
Kinematic intensities with the Lorentz-polarization factor, no thermal factor.

Top 11 peaks for 2θ from 15° to 90°, by intensity:
2θ (°), d [Å], I/Imax, hkl
29.93, 2.985, 100, 3 3 1
34.70, 2.585, 51, 0 0 2
59.28, 1.559, 43, 3 3 3
49.89, 1.828, 36, 6 0 2
81.07, 1.186, 18, 3 9 3
62.20, 1.493, 12, 6 6 2
83.69, 1.156, 11, 6 0 4
83.55, 1.157, 5, 0 12 2
73.28, 1.292, 4, 0 0 4
73.12, 1.294, 2, 0 12 0
25.02, 3.559, 1, 1 3 1

Structural model:
```
data_AcNd12Ho5
_chemical_formula_sum 'Ac2 Nd24 Ho10'
_space_group_name_H-M_alt 'C m m m'
_space_group_IT_number 65
_space_group_name_Hall '-C 2 2'
_cell_length_a 15.5009
_cell_length_b 15.5315
_cell_length_c 5.1668
_cell_angle_alpha 90.00
_cell_angle_beta 90.00
_cell_angle_gamma 90.00
loop_
_atom_site_label
_atom_site_type_symbol
_atom_site_fract_x
_atom_site_fract_y
_atom_site_fract_z
Ac1 Ac 0.0000 0.0000 0.0000
Nd1 Nd 0.1638 0.3340 0.5000
Nd2 Nd 0.1636 0.5000 0.0000
Nd3 Nd 0.1671 0.1689 0.0000
Nd4 Nd 0.1703 0.0000 0.5000
Ho1 Ho 0.0000 0.1707 0.5000
Ho2 Ho 0.0000 0.3334 0.0000
Ho3 Ho 0.0000 0.5000 0.5000
```

***

Entry 9:
This entry pairs a crystal structure of RbAsH2IrSe with its calculated PXRD pattern. Radiation: Cu Kα (weighted mean of Kα1 and Kα2). Structure: a cell relaxed with GGA-PBE.
Kinematic intensities with the Lorentz-polarization factor, no thermal factor.

Top 12 peaks for 2θ from 15° to 90°, by intensity:
2θ (°), d [Å], I/Imax, hkl
25.62, 3.478, 100, 0 1 -1
30.91, 2.893, 93, 1 1 2
38.40, 2.344, 48, 1 2 1
42.63, 2.121, 38, 1 0 3
26.05, 3.421, 32, 0 0 2
20.38, 4.357, 30, 0 1 0
53.52, 1.712, 26, 2 2 0
22.75, 3.908, 25, 0 1 1
59.14, 1.562, 25, 1 3 0
46.14, 1.967, 21, 2 1 1
40.42, 2.232, 21, 1 1 3
48.57, 1.874, 20, 1 2 3

Structural model:
```
data_RbAsH2IrSe
_chemical_formula_sum 'Rb1 As1 H2 Ir1 Se1'
_space_group_name_H-M_alt 'P 1'
_space_group_IT_number 1
_space_group_name_Hall 'P 1'
_cell_length_a 3.9347
_cell_length_b 4.8141
_cell_length_c 7.1643
_cell_angle_alpha 77.03
_cell_angle_beta 74.12
_cell_angle_gamma 65.88
loop_
_atom_site_label
_atom_site_type_symbol
_atom_site_fract_x
_atom_site_fract_y
_atom_site_fract_z
Rb1 Rb 0.0000 0.0000 0.0000
As1 As 0.1675 0.3298 0.3367
H1 H 0.3480 0.9331 0.3665
H2 H 0.6249 0.1504 0.5970
Ir1 Ir 0.5038 0.5059 0.4896
Se1 Se 0.8228 0.6618 0.6940
```

***

Entry 10:
This entry pairs a crystal structure of InBPd6 with its calculated PXRD pattern. Radiation: Cu Kα (weighted mean of Kα1 and Kα2). Structure: a cell relaxed with GGA-PBE.
Kinematic intensities with the Lorentz-polarization factor, no thermal factor.

Top 12 peaks for 2θ from 15° to 90°, by intensity:
2θ (°), d [Å], I/Imax, hkl
37.24, 2.414, 100, 2 1 1
43.32, 2.089, 68, 1 2 2
37.41, 2.404, 40, 0 0 3
63.05, 1.474, 22, 2 1 4
70.70, 1.332, 16, 0 5 1
84.49, 1.147, 15, 3 3 3
74.81, 1.269, 14, 5 0 2
46.40, 1.957, 14, 2 2 0
72.44, 1.305, 12, 3 3 0
75.67, 1.257, 12, 1 2 5
61.06, 1.518, 11, 2 2 3
29.11, 3.068, 9, 0 2 1

Structural model:
```
data_InBPd6
_chemical_formula_sum 'In3 B3 Pd18'
_space_group_name_H-M_alt 'R -3 m'
_space_group_IT_number 166
_space_group_name_Hall '-R 3 2"'
_cell_length_a 7.8278
_cell_length_b 7.8278
_cell_length_c 7.2114
_cell_angle_alpha 90.00
_cell_angle_beta 90.00
_cell_angle_gamma 120.00
loop_
_atom_site_label
_atom_site_type_symbol
_atom_site_fract_x
_atom_site_fract_y
_atom_site_fract_z
In1 In 0.0000 0.0000 0.0000
B1 B 0.0000 0.0000 0.5000
Pd1 Pd 0.0818 0.5409 0.3283
```

***

Entry 11:
This entry pairs a crystal structure of Th4Te2C with its calculated PXRD pattern. Radiation: Cu Kα (weighted mean of Kα1 and Kα2). Structure: a cell relaxed with GGA-PBE.
Kinematic intensities with the Lorentz-polarization factor, no thermal factor.

Top 12 peaks for 2θ from 15° to 90°, by intensity:
2θ (°), d [Å], I/Imax, hkl
28.51, 3.131, 100, 1 0 2
35.35, 2.539, 61, 0 2 2
29.28, 3.050, 53, 1 2 0
46.67, 1.946, 27, 3 2 -2
36.15, 2.485, 23, 2 2 0
63.01, 1.475, 22, 1 4 2
54.46, 1.685, 19, 2 2 -4
44.84, 2.021, 18, 1 0 -4
36.31, 2.474, 16, 3 0 0
31.55, 2.836, 15, 2 1 -2
27.48, 3.245, 14, 2 1 0
38.81, 2.320, 12, 3 1 0

Structural model:
```
data_Th4Te2C
_chemical_formula_sum 'Th8 Te4 C2'
_space_group_name_H-M_alt 'P 1 21/m 1'
_space_group_IT_number 11
_space_group_name_Hall '-P 2yb'
_cell_length_a 7.6924
_cell_length_b 6.6907
_cell_length_c 8.0859
_cell_angle_alpha 90.00
_cell_angle_beta 105.24
_cell_angle_gamma 90.00
loop_
_atom_site_label
_atom_site_type_symbol
_atom_site_fract_x
_atom_site_fract_y
_atom_site_fract_z
Th1 Th 0.0032 0.0080 0.2499
Th2 Th 0.3728 0.2500 0.0889
Th3 Th 0.3813 0.2500 0.5976
Te1 Te 0.2681 0.7500 0.5659
Te2 Te 0.2699 0.7500 0.0673
C1 C 0.2136 0.2500 0.8011
```

***

Entry 12:
This entry pairs a crystal structure of Hf4RuRh3 with its calculated PXRD pattern. Radiation: Cu Kα (weighted mean of Kα1 and Kα2). Structure: a cell relaxed with GGA-PBE.
Kinematic intensities with the Lorentz-polarization factor, no thermal factor.

Top 12 peaks for 2θ from 15° to 90°, by intensity:
2θ (°), d [Å], I/Imax, hkl
38.81, 2.320, 100, 3 1 1
39.54, 2.279, 48, 0 2 0
71.24, 1.324, 33, 3 3 1
57.15, 1.612, 16, 2 2 -2
69.76, 1.348, 13, 8 2 0
54.94, 1.671, 9, 8 0 0
27.67, 3.223, 7, 1 1 -1
83.23, 1.161, 6, 6 2 2
83.35, 1.159, 6, 10 2 -2
85.13, 1.140, 5, 0 4 0
69.84, 1.347, 4, 10 0 -2
26.67, 3.342, 4, 4 0 0

Structural model:
```
data_Hf4RuRh3
_chemical_formula_sum 'Hf8 Ru2 Rh6'
_space_group_name_H-M_alt 'C 1 2/m 1'
_space_group_IT_number 12
_space_group_name_Hall '-C 2y'
_cell_length_a 14.1182
_cell_length_b 4.5586
_cell_length_c 4.5586
_cell_angle_alpha 90.00
_cell_angle_beta 108.74
_cell_angle_gamma 90.00
loop_
_atom_site_label
_atom_site_type_symbol
_atom_site_fract_x
_atom_site_fract_y
_atom_site_fract_z
Hf1 Hf 0.1243 0.0000 0.1243
Hf2 Hf 0.1243 0.5000 0.6243
Ru1 Ru 0.0000 0.0000 0.5000
Rh1 Rh 0.0000 0.5000 0.0000
Rh2 Rh 0.2472 0.0000 0.7471
```